Starting from a DFT-relaxed cell (PBE+U, Alexandria), the powder diffractogram of Mn2GePbO8 was simulated for Cu Kα (weighted mean of Kα1 and Kα2).
Peak positions follow from Bragg's law for the DFT cell and can differ from measured ones.

Largest 10 diffraction maxima, by angle, 10 to 80 degrees two-theta:
hkl 0 1 0, 2θ = 14.32°, rel. 19; hkl 1 0 0, 2θ = 19.25°, rel. 44; hkl 1 1 0, 2θ = 24.07°, rel. 35; hkl 1 0 -1, 2θ = 27.05°, rel. 71; hkl 1 0 1, 2θ = 27.65°, rel. 64; hkl 1 2 0, 2θ = 34.93°, rel. 100; hkl 0 0 2, 2θ = 39.07°, rel. 27; hkl 1 2 1, 2θ = 40.40°, rel. 23; hkl 2 2 -1, 2θ = 53.06°, rel. 46; hkl 2 2 1, 2θ = 53.74°, rel. 41

Crystal structure
```
12
Lattice="4.6071 0.0000 0.0000 0.0000 6.1858 0.0000 -0.0994 0.0000 4.6157" Properties=species:S:1:pos:R:3 pbc="T T T"
Mn 0.0000 1.4748 0.0000
Mn 0.0000 4.7110 0.0000
Ge 2.2538 0.0000 2.3078
Pb 2.2538 3.0929 2.3078
O 0.7225 3.0929 3.8232
O 0.8112 0.0000 3.7357
O 1.3452 1.3778 1.3911
O 1.3452 4.8080 1.3911
O 3.1625 1.3778 3.2246
O 3.1625 4.8080 3.2246
O 3.6964 0.0000 0.8800
O 3.7851 3.0929 0.7925
```